Simulated PXRD pattern
Compound: AcH2ClO2
Radiation: Cu Kα, 1.54184 Å
Structure: a PBE-relaxed structure

Top 8 peaks for 2θ from 10° to 80°, low angle first:
| d [Å] | 2theta | I (rel.) |
| --- | --- | --- |
| 5.794 | 15.29 | 100 |
| 4.152 | 21.40 | 43 |
| 3.587 | 24.82 | 79 |
| 3.455 | 25.79 | 30 |
| 3.200 | 27.88 | 84 |
| 2.367 | 38.01 | 39 |
| 2.342 | 38.44 | 29 |
| 2.108 | 42.91 | 43 |

Structural model:
```
AcH2ClO2
1.0
5.926 0.000 0.000
0.000 4.107 0.000
-1.580 0.000 7.371
Ac H Cl O
2 4 2 4
Direct
0.091 0.250 0.303
0.909 0.750 0.697
0.355 0.553 0.654
0.355 0.947 0.654
0.645 0.053 0.346
0.645 0.447 0.346
0.262 0.750 0.061
0.738 0.250 0.939
0.117 0.250 0.634
0.434 0.750 0.615
0.566 0.250 0.385
0.883 0.750 0.366
```


Simulated PXRD pattern
Compound: Al4GaMo
Radiation: Cu Kα, 1.54184 Å
Structure: a PBE-relaxed structure

Top 8 peaks for 2θ from 10° to 80°, low angle first:
| d [Å] | 2theta | I (rel.) |
| --- | --- | --- |
| 5.016 | 17.68 | 32 |
| 3.213 | 27.77 | 17 |
| 2.286 | 39.42 | 100 |
| 2.120 | 42.66 | 17 |
| 2.040 | 44.41 | 18 |
| 1.817 | 50.20 | 13 |
| 1.470 | 63.26 | 13 |
| 1.220 | 78.39 | 13 |

Structural model:
```
Al4GaMo
1.0
1.817 -6.359 0.000
1.817 6.359 0.000
0.000 0.000 8.160
Al Ga Mo
8 2 2
Direct
0.006 0.994 0.500
0.170 0.830 0.248
0.313 0.687 0.994
0.494 0.506 0.754
0.506 0.494 0.254
0.687 0.313 0.494
0.830 0.170 0.748
0.994 0.006 0.000
0.164 0.836 0.740
0.836 0.164 0.240
0.347 0.653 0.493
0.653 0.347 0.993
```


Simulated PXRD pattern
Compound: Er3Mg2Ir
Radiation: Cu Kα, 1.54184 Å
Structure: a PBE-relaxed structure

Top 8 peaks for 2θ from 10° to 80°, low angle first:
| d [Å] | 2theta | I (rel.) |
| --- | --- | --- |
| 7.862 | 11.25 | 55 |
| 3.508 | 25.39 | 16 |
| 2.617 | 34.26 | 100 |
| 2.495 | 36.00 | 22 |
| 2.466 | 36.43 | 25 |
| 2.099 | 43.09 | 25 |
| 1.754 | 52.15 | 16 |
| 1.451 | 64.18 | 16 |

Structural model:
```
Er3Mg2Ir
1.0
2.466 -7.485 0.000
2.466 7.485 0.000
0.000 0.000 7.862
Er Mg Ir
6 4 2
Direct
0.000 0.000 0.226
0.000 0.000 0.774
0.324 0.676 0.208
0.324 0.676 0.792
0.676 0.324 0.208
0.676 0.324 0.792
0.168 0.832 0.500
0.500 0.500 0.000
0.500 0.500 0.500
0.832 0.168 0.500
0.151 0.849 0.000
0.849 0.151 0.000
```


Simulated PXRD pattern
Compound: Rb2ThAu2Se4
Radiation: Cu Kα, 1.54184 Å
Structure: a PBE-relaxed structure

Top 8 peaks for 2θ from 10° to 80°, low angle first:
| d [Å] | 2theta | I (rel.) |
| --- | --- | --- |
| 7.412 | 11.94 | 100 |
| 4.007 | 22.18 | 21 |
| 3.435 | 25.94 | 35 |
| 2.888 | 30.96 | 54 |
| 2.843 | 31.46 | 49 |
| 2.681 | 33.42 | 25 |
| 2.248 | 40.10 | 31 |
| 2.209 | 40.86 | 24 |

Structural model:
```
Rb2ThAu2Se4
1.0
8.723 -2.209 0.000
8.723 2.209 0.000
-3.110 0.000 7.412
Rb Th Au Se
2 1 2 4
Direct
0.140 0.140 0.115
0.860 0.860 0.885
0.000 0.000 0.500
0.355 0.355 0.465
0.645 0.645 0.535
0.187 0.187 0.707
0.496 0.496 0.748
0.504 0.504 0.252
0.813 0.813 0.293
```


Simulated PXRD pattern
Compound: NaErCdBr6
Radiation: Cu Kα, 1.54184 Å
Structure: a PBE-relaxed structure

Top 8 peaks for 2θ from 10° to 80°, low angle first:
| d [Å] | 2theta | I (rel.) |
| --- | --- | --- |
| 6.692 | 13.23 | 36 |
| 6.186 | 14.32 | 25 |
| 4.542 | 19.54 | 30 |
| 3.151 | 28.33 | 100 |
| 2.442 | 36.81 | 64 |
| 2.062 | 43.91 | 38 |
| 1.892 | 48.10 | 26 |
| 1.299 | 72.80 | 16 |

Structural model:
```
NaErCdBr6
1.0
7.143 0.000 0.000
-3.571 6.186 0.000
0.000 0.000 13.383
Na Er Cd Br
2 2 2 12
Direct
0.000 0.000 0.000
0.000 0.000 0.500
0.333 0.667 0.250
0.667 0.333 0.750
0.333 0.667 0.750
0.667 0.333 0.250
0.003 0.357 0.130
0.003 0.647 0.370
0.353 0.357 0.370
0.353 0.997 0.130
0.357 0.003 0.630
0.357 0.353 0.870
0.643 0.647 0.130
0.643 0.997 0.370
0.647 0.003 0.870
0.647 0.643 0.630
0.997 0.353 0.630
0.997 0.643 0.870
```


Simulated PXRD pattern
Compound: LiTaNb2N4
Radiation: Cu Kα, 1.54184 Å
Structure: a PBE-relaxed structure

Top 8 peaks for 2θ from 10° to 80°, low angle first:
| d [Å] | 2theta | I (rel.) |
| --- | --- | --- |
| 3.899 | 22.81 | 89 |
| 2.515 | 35.69 | 100 |
| 2.414 | 37.25 | 27 |
| 2.181 | 41.40 | 58 |
| 2.173 | 41.55 | 29 |
| 1.903 | 47.79 | 26 |
| 1.539 | 60.10 | 37 |
| 1.315 | 71.80 | 28 |

Structural model:
```
LiTaNb2N4
1.0
-2.181 2.181 4.347
2.181 -2.181 4.347
2.181 2.181 -4.347
Li Ta Nb N
1 1 2 4
Direct
0.000 0.000 0.000
0.500 0.500 0.000
0.250 0.750 0.500
0.750 0.250 0.500
0.000 0.500 0.500
0.244 0.244 0.000
0.500 0.000 0.500
0.756 0.756 0.000
```


Simulated PXRD pattern
Compound: Tb10CeDy6
Radiation: Cu Kα, 1.54184 Å
Structure: a PBE-relaxed structure

Top 8 peaks for 2θ from 10° to 80°, low angle first:
| d [Å] | 2theta | I (rel.) |
| --- | --- | --- |
| 2.866 | 31.21 | 28 |
| 2.785 | 32.15 | 100 |
| 2.194 | 41.14 | 9 |
| 1.969 | 46.10 | 14 |
| 1.845 | 49.38 | 9 |
| 1.607 | 57.32 | 22 |
| 1.538 | 60.15 | 10 |
| 1.466 | 63.47 | 9 |

Structural model:
```
Tb10CeDy6
1.0
9.651 0.000 0.000
-4.825 8.358 0.000
0.000 0.000 6.815
Tb Ce Dy
10 1 6
Direct
0.000 0.273 0.315
0.000 0.727 0.685
0.273 0.000 0.315
0.273 0.273 0.685
0.333 0.667 0.000
0.333 0.667 0.500
0.667 0.333 0.000
0.667 0.333 0.500
0.727 0.000 0.685
0.727 0.727 0.315
0.000 0.000 0.000
0.000 0.377 0.801
0.000 0.623 0.199
0.377 0.000 0.801
0.377 0.377 0.199
0.623 0.000 0.199
0.623 0.623 0.801
```